The following is a computed XRD peak list of Al3Ag5. It was derived from a structure optimized by DFT (PBE), using Cu Kα X-rays.

Structural model:
Lattice parameters (Å, degrees): 5.4369 7.5083 7.6253 84.06 69.15 73.10
Positions (direct):
Al (0.0000, 0.0000, 0.0000)
Al (0.0892, 0.5002, 0.8224)
Al (0.2322, 0.3438, 0.3406)
Al (0.4283, 0.6560, 0.3408)
Al (0.5695, 0.4999, 0.8622)
Al (0.6607, 0.9998, 0.6816)
Ag (0.0455, 0.2011, 0.6846)
Ag (0.0747, 0.0136, 0.3410)
Ag (0.0755, 0.6516, 0.1394)
Ag (0.2713, 0.7991, 0.6846)
Ag (0.3887, 0.2006, 0.9968)
Ag (0.5823, 0.3494, 0.5446)
Ag (0.5855, 0.9863, 0.3412)
Ag (0.6149, 0.7994, 0.9972)
Ag (0.7863, 0.3484, 0.1395)
Ag (0.8741, 0.6502, 0.5444)

Principal peaks in the range 2θ from 10° to 80°, by intensity:
d 2.268, 2θ 39.7, I = 100.0, (-1 1 2); d 2.157, 2θ 41.9, I = 84.9, (2 1 -1); d 2.187, 2θ 41.3, I = 77.0, (1 3 -1); d 2.246, 2θ 40.2, I = 72.8, (2 -1 1); d 2.531, 2θ 35.5, I = 72.5, (0 2 -2); d 2.255, 2θ 40.0, I = 64.1, (0 1 3); d 2.711, 2θ 33.0, I = 61.1, (2 1 1); d 2.339, 2θ 38.5, I = 60.2, (2 2 2)